Ba2Zn2Sb2O: computed X-ray powder pattern (Cu Kα), based on a PBE-relaxed structure.
No peak broadening, texture or thermal motion is included.

Peak list (10 most intense, 10 to 80 degrees two-theta, in order of falling intensity)
index, 2theta, I/Imax
1 0 4, 28.38, 100.0
1 1 0, 38.94, 51.1
1 1 8, 53.60, 24.9
2 0 4, 48.88, 22.0
2 1 4, 64.19, 19.5
1 0 3, 25.84, 16.1
0 0 8, 35.35, 14.1
1 0 7, 38.30, 11.6
3 0 0, 70.52, 8.5
1 0 11, 54.73, 8.1

Crystal structure
Lattice parameters (Å, degrees): 4.6258 4.6258 20.3131 90.00 90.00 120.00
Space group P6_3/mmc (No. 194)
Inequivalent atoms, fractional coordinates:
Ba  0.0000  0.0000  0.0000 [2 per cell]
Ba  0.0000  0.0000  0.2500 [2 per cell]
Zn  0.3333  0.6667  0.1481 [4 per cell]
Sb  0.3333  0.6667  0.6119 [4 per cell]
O  0.3333  0.6667  0.2500 [2 per cell]